Tm2P4O13: calculated X-ray diffraction stick pattern (Cu Kα), based on the PBE geometry in Alexandria.
Kinematic intensities with the Lorentz-polarization factor, no thermal factor.

Top 6 peaks for 2θ from 5° to 70°, low angle first:
index  2θ/deg  intensity
0 0 2  14.37  50
2 0 0  15.54  65
1 1 -2  19.34  43
0 2 0  26.34  35
3 1 0  26.91  36
1 1 -4  30.73  100

Cell and atoms:
a = 11.9300 Å, b = 6.7668 Å, c = 12.8954 Å
α = 90.00°, β = 107.11°, γ = 90.00°
Space group C2/c (No. 15)
Asymmetric unit:
Tm 0.1955 0.0049 0.0496 x8
P 0.0124 0.3397 0.8669 x8
P 0.2360 0.4873 0.6612 x8
O 0.0000 0.2415 0.7500 x4
O 0.0107 0.1687 0.9436 x8
O 0.0991 0.4775 0.6531 x8
O 0.1123 0.4824 0.8964 x8
O 0.1968 0.0070 0.2199 x8
O 0.2367 0.1857 0.4043 x8
O 0.2491 0.3288 0.0958 x8